HoTmTlSe: computed X-ray powder pattern (a wavelength of 1.5418 Å), based on a cell relaxed with GGA-PBE.
Peak positions follow from Bragg's law for the DFT cell and can differ from measured ones.

Structural model:
a b c (Å): 3.7935 3.7935 8.3892
angles (deg): 90.00 90.00 120.00
Positions (direct):
Ho (0.0000, 0.0000, 0.0000)
Tm (0.6667, 0.3333, 0.4336)
Tl (0.3333, 0.6667, 0.7149)
Se (0.3333, 0.6667, 0.2188)

Principal peaks in the range 2θ = 10–90°, in order of rising 2θ:
hkl 1 0 1, 29.19°, I 81
hkl 0 1 2, 34.68°, I 100
hkl 0 1 3, 42.45°, I 16
hkl 0 0 4, 43.13°, I 12
hkl 1 1 0, 47.96°, I 38
hkl 1 0 4, 51.71°, I 12
hkl 0 2 1, 57.14°, I 13
hkl 2 0 2, 60.53°, I 20
hkl 1 1 4, 66.46°, I 19
hkl 1 2 2, 80.70°, I 18